# 1
Starting from a DFT-relaxed cell (PBE, Alexandria), the X-ray powder pattern of CaAc2Nd6 was computed for CuKα.
Kinematic intensities with the Lorentz-polarization factor, no thermal factor.

Cell and atoms:
Unit cell a=6.500 b=8.487 c=13.021 alpha=82.62 beta=80.38 gamma=74.96
Positions (direct):
Ca  0.168  0.333  0.418
Ca  0.832  0.667  0.582
Ac  0.062  0.783  0.803
Ac  0.166  0.332  0.913
Ac  0.834  0.668  0.087
Ac  0.938  0.217  0.197
Nd  0.058  0.784  0.306
Nd  0.280  0.891  0.525
Nd  0.282  0.888  0.028
Nd  0.391  0.447  0.138
Nd  0.401  0.438  0.638
Nd  0.498  0.008  0.747
Nd  0.502  0.992  0.253
Nd  0.599  0.562  0.362
Nd  0.609  0.553  0.862
Nd  0.718  0.112  0.972
Nd  0.720  0.109  0.475
Nd  0.942  0.216  0.694

Top 10 peaks for 5 to 70 degrees two-theta, sorted by position:
| d_spacing | I (rel.) |
| --- | --- |
| 12.787 | 17.3 |
| 3.085 | 100.0 |
| 3.069 | 98.7 |
| 2.679 | 34.9 |
| 2.662 | 34.4 |
| 2.653 | 33.6 |
| 1.880 | 36.3 |
| 1.617 | 14.9 |
| 1.609 | 29.3 |
| 1.602 | 36.2 |

---

# 2
Starting from a DFT-relaxed cell (PBE, Alexandria), the X-ray powder pattern of Ca14AcNd was computed for CuKα.
Kinematic intensities with the Lorentz-polarization factor, no thermal factor.

Cell and atoms:
Unit cell a=11.015 b=7.797 c=7.797 alpha=90.03 beta=90.00 gamma=90.00
Positions (direct):
Ca  0.000  0.000  0.000
Ca  0.000  0.000  0.500
Ca  0.000  0.500  0.000
Ca  0.000  0.500  0.500
Ca  0.251  0.247  0.247
Ca  0.251  0.247  0.753
Ca  0.251  0.752  0.752
Ca  0.251  0.753  0.247
Ca  0.500  0.500  0.999
Ca  0.500  0.999  0.500
Ca  0.749  0.247  0.247
Ca  0.749  0.247  0.753
Ca  0.749  0.752  0.752
Ca  0.749  0.753  0.247
Ac  0.500  0.499  0.499
Nd  0.500  0.000  0.000

Top 10 peaks for 5 to 70 degrees two-theta, sorted by position:
| d_spacing | I (rel.) |
| --- | --- |
| 11.015 | 32.0 |
| 5.511 | 22.2 |
| 4.930 | 23.1 |
| 3.897 | 20.2 |
| 3.674 | 14.3 |
| 3.182 | 100.0 |
| 2.756 | 50.4 |
| 2.465 | 12.6 |
| 1.949 | 35.0 |
| 1.662 | 41.0 |

---

# 3
Starting from a DFT-relaxed cell (PBE, Alexandria), the X-ray powder pattern of Ca2AcNdS4 was computed for CuKα.
Kinematic intensities with the Lorentz-polarization factor, no thermal factor.

Cell and atoms:
Unit cell a=7.088 b=4.095 c=7.209 alpha=90.00 beta=109.12 gamma=90.00
Positions (direct):
Ca  0.000  0.000  0.000
Ca  0.500  0.500  0.000
Ac  0.000  0.500  0.500
Nd  0.500  0.000  0.500
S  0.253  0.500  0.240
S  0.262  0.000  0.766
S  0.738  0.000  0.234
S  0.747  0.500  0.760

Top 10 peaks for 5 to 70 degrees two-theta, sorted by position:
| d_spacing | I (rel.) |
| --- | --- |
| 6.811 | 49.2 |
| 3.493 | 36.8 |
| 3.406 | 14.4 |
| 3.349 | 41.1 |
| 2.912 | 100.0 |
| 2.678 | 20.7 |
| 2.072 | 36.5 |
| 2.047 | 35.4 |
| 1.960 | 14.5 |
| 1.675 | 18.5 |